# 1
This entry pairs a crystal structure of Na6Fe2P4HO17 with its theoretical powder X-ray diffraction pattern. Radiation: Cu Ka. Structure: the GGA+U geometry in the Materials Project.
Neutral-atom scattering factors, no anomalous dispersion.

Peak list (6 most intense, 10° ≤ 2θ ≤ 90°, in order of rising 2θ)
d = 7.403 Å, I 100, hkl 0 0 2; d = 3.069 Å, I 86, hkl 0 3 1; d = 2.821 Å, I 59, hkl 1 -1 4; d = 2.731 Å, I 53, hkl -1 1 4; d = 2.629 Å, I 90, hkl 2 1 1; d = 2.595 Å, I 44, hkl 1 2 5

Structural model:
```
data_Na6Fe2P4HO17
_symmetry_space_group_name_H-M 'P 1'
_symmetry_Int_Tables_number 1
_cell_length_a 5.2809
_cell_length_b 9.3810
_cell_length_c 15.1317
_cell_angle_alpha 80.34
_cell_angle_beta 81.41
_cell_angle_gamma 79.16
loop_
_symmetry_equiv_pos_as_xyz
'x,y,z'
loop_
_atom_site_label
_atom_site_type_symbol
_atom_site_fract_x
_atom_site_fract_y
_atom_site_fract_z
Na1 Na 0.0000 0.0000 0.0000
Na2 Na 0.9997 0.4675 0.6250
Na3 Na 0.1208 0.6240 0.1326
Na4 Na 0.2415 0.2475 0.2652
Na5 Na 0.2406 0.7833 0.6387
Na6 Na 0.4203 0.9868 0.1527
Na7 Na 0.5142 0.1236 0.8625
Na8 Na 0.5558 0.4883 0.4871
Na9 Na 0.6118 0.1475 0.6414
Na10 Na 0.6860 0.7613 0.7765
Na11 Na 0.7256 0.1233 0.4050
Na12 Na 0.8211 0.2606 0.1126
Fe1 Fe 0.0795 0.5938 0.3596
Fe2 Fe 0.1613 0.6545 0.9053
Fe3 Fe 0.3108 0.9160 0.4018
Fe4 Fe 0.9306 0.3317 0.8633
P1 P 0.1189 0.2532 0.4865
P2 P 0.1215 0.9950 0.7786
P3 P 0.3475 0.3245 0.0093
P4 P 0.4467 0.4546 0.7418
P5 P 0.5927 0.7985 0.0033
P6 P 0.6484 0.4491 0.2617
P7 P 0.7947 0.7934 0.5231
P8 P 0.8939 0.9237 0.2556
H1 H 0.1221 0.1236 0.6318
H2 H 0.6217 0.6230 0.1327
O1 O 0.0039 0.0412 0.6864
O2 O 0.0520 0.8394 0.8137
O3 O 0.0995 0.9891 0.2947
O4 O 0.1424 0.2589 0.9700
O5 O 0.1904 0.4083 0.4515
O6 O 0.2361 0.2066 0.5790
O7 O 0.2501 0.1464 0.4176
O8 O 0.2586 0.3423 0.7787
O9 O 0.2660 0.4931 0.0036
O10 O 0.3331 0.7038 0.3933
O11 O 0.3461 0.4931 0.2693
O12 O 0.3564 0.2541 0.1085
O13 O 0.3897 0.5854 0.7973
O14 O 0.4154 0.9915 0.7602
O15 O 0.4191 0.5122 0.6421
O16 O 0.4767 0.7404 0.9303
O17 O 0.4847 0.7334 0.1012
O18 O 0.5116 0.9651 0.9959
O19 O 0.5130 0.8754 0.5115
O20 O 0.6199 0.2875 0.9538
O21 O 0.6214 0.9607 0.3110
O22 O 0.7283 0.3710 0.7526
O23 O 0.7298 0.2826 0.2689
O24 O 0.7562 0.5145 0.1635
O25 O 0.7653 0.5074 0.3343
O26 O 0.8230 0.7343 0.6225
O27 O 0.8249 0.2581 0.5058
O28 O 0.8523 0.6621 0.4675
O29 O 0.8850 0.9939 0.1562
O30 O 0.8952 0.7547 0.9955
O31 O 0.9084 0.5437 0.8715
O32 O 0.9752 0.7550 0.2612
O33 O 0.9840 0.9044 0.4856
O34 O 0.9889 0.1017 0.8477
```

---

# 2
This entry pairs a crystal structure of Na2FeP2H2O6 with its theoretical powder X-ray diffraction pattern. Radiation: Cu Ka. Structure: the GGA+U geometry in the Materials Project.
Neutral-atom scattering factors, no anomalous dispersion.

Peak list (6 most intense, 10° ≤ 2θ ≤ 90°, in order of rising 2θ)
d = 7.478 Å, I 80, hkl 1 0 1; d = 4.108 Å, I 46, hkl 2 1 0; d = 2.752 Å, I 44, hkl 0 2 0; d = 2.696 Å, I 100, hkl 4 1 0; d = 2.659 Å, I 54, hkl 1 1 3; d = 2.587 Å, I 44, hkl 4 1 1

Structural model:
```
data_Na2FeP2H2O6
_symmetry_space_group_name_H-M 'P n m a'
_symmetry_Int_Tables_number 62
_cell_length_a 12.3422
_cell_length_b 5.5047
_cell_length_c 9.4008
_cell_angle_alpha 90.00
_cell_angle_beta 90.00
_cell_angle_gamma 90.00
loop_
_symmetry_equiv_pos_as_xyz
'x,y,z'
'-x,-y,-z'
'-x+1/2,-y,z+1/2'
'x+1/2,y,-z+1/2'
'x+1/2,-y+1/2,-z+1/2'
'-x+1/2,y+1/2,z+1/2'
'-x,y+1/2,-z'
'x,-y+1/2,z'
loop_
_atom_site_label
_atom_site_type_symbol
_atom_site_fract_x
_atom_site_fract_y
_atom_site_fract_z
Na1 Na 0.0974 0.2500 0.2266
Na2 Na 0.2220 0.2500 0.8264
Fe1 Fe 0.1582 0.7500 0.6363
P1 P 0.0152 0.2500 0.6282
P2 P 0.1867 0.7500 0.0034
H1 H 0.0723 0.7500 0.9958
H2 H 0.0776 0.2500 0.5028
O1 O 0.0486 0.0202 0.7113
O2 O 0.1045 0.7500 0.4171
O3 O 0.2161 0.5165 0.0857
O4 O 0.2298 0.7500 0.8497
```

---

# 3
This entry pairs a crystal structure of Na2FeH4S2O10 with its theoretical powder X-ray diffraction pattern. Radiation: Cu Ka. Structure: the GGA+U geometry in the Materials Project.
Neutral-atom scattering factors, no anomalous dispersion.

Peak list (6 most intense, 10° ≤ 2θ ≤ 90°, in order of rising 2θ)
d = 6.631 Å, I 96, hkl 0 2 0; d = 3.400 Å, I 97, hkl 0 3 1; d = 3.291 Å, I 62, hkl 1 1 1; d = 3.170 Å, I 56, hkl 1 3 -1; d = 3.023 Å, I 100, hkl 1 2 1; d = 2.721 Å, I 61, hkl 1 0 -2

Structural model:
```
data_Na2FeH4S2O10
_symmetry_space_group_name_H-M 'P 1 21/c 1'
_symmetry_Int_Tables_number 14
_cell_length_a 5.8143
_cell_length_b 13.2618
_cell_length_c 5.5505
_cell_angle_alpha 90.00
_cell_angle_beta 106.51
_cell_angle_gamma 90.00
loop_
_symmetry_equiv_pos_as_xyz
'x,y,z'
'-x,-y,-z'
'-x,y+1/2,-z+1/2'
'x,-y+1/2,z+1/2'
loop_
_atom_site_label
_atom_site_type_symbol
_atom_site_fract_x
_atom_site_fract_y
_atom_site_fract_z
Na1 Na 0.0775 0.1180 0.2597
Fe1 Fe 0.5000 0.0000 0.0000
H1 H 0.1758 0.1503 0.8174
H2 H 0.4097 0.2013 0.9934
S1 S 0.2771 0.6172 0.9245
O1 O 0.0699 0.6872 0.8962
O2 O 0.2391 0.5585 0.6825
O3 O 0.2724 0.5435 0.1296
O4 O 0.3117 0.1387 0.9731
O5 O 0.4935 0.1725 0.5153
```